# TlCd4Hg15
Calculated powder diffraction line list, Cu Kα (λ = 1.5418 Å). Input: a cell relaxed with PBE.
Neutral-atom scattering factors, no anomalous dispersion.

Largest 10 diffraction maxima, by angle, 2θ = 5–70°:
| hkl | 2theta | d (Å) | intensity |
| --- | --- | --- | --- |
| 1 0 0 | 17.68 | 5.015 | 2 |
| 1 0 5 | 27.52 | 3.242 | 1 |
| 1 1 4 | 30.31 | 2.949 | 1 |
| 1 1 5 | 32.90 | 2.722 | 100 |
| 2 0 0 | 35.81 | 2.508 | 42 |
| 0 0 10 | 42.56 | 2.124 | 11 |
| 2 2 0 | 51.54 | 1.773 | 15 |
| 2 0 10 | 56.80 | 1.621 | 20 |
| 3 1 5 | 62.51 | 1.486 | 32 |
| 2 2 10 | 68.99 | 1.361 | 11 |

Structural model:
```
data_TlCd4Hg15
_chemical_formula_sum 'Tl1 Cd4 Hg15'
_space_group_name_H-M_alt 'P 4/m m m'
_space_group_IT_number 123
_space_group_name_Hall '-P 4 2'
_cell_length_a 5.0155
_cell_length_b 5.0155
_cell_length_c 21.2400
_cell_angle_alpha 90.00
_cell_angle_beta 90.00
_cell_angle_gamma 90.00
loop_
_atom_site_label
_atom_site_fract_x
_atom_site_fract_y
_atom_site_fract_z
_atom_site_occupancy
Tl1 0.0000 0.0000 0.0000 1
Cd1 0.0000 0.0000 0.2079 1
Cd2 0.0000 0.0000 0.4024 1
Hg1 0.0000 0.5000 0.1083 1
Hg2 0.0000 0.5000 0.3051 1
Hg3 0.0000 0.5000 0.5000 1
Hg4 0.5000 0.5000 0.0000 1
Hg5 0.5000 0.5000 0.2051 1
Hg6 0.5000 0.5000 0.4018 1
```


# Li2PSe5
Calculated powder diffraction line list, Cu Kα (λ = 1.5418 Å). Input: a cell relaxed with PBE.
Neutral-atom scattering factors, no anomalous dispersion.

Largest 10 diffraction maxima, by angle, 2θ = 5–70°:
| hkl | 2theta | d (Å) | intensity |
| --- | --- | --- | --- |
| 0 1 -1 | 17.19 | 5.158 | 99 |
| 0 1 1 | 21.21 | 4.188 | 98 |
| 0 1 -2 | 25.81 | 3.452 | 87 |
| 1 0 -2 | 26.65 | 3.345 | 46 |
| 1 0 1 | 28.20 | 3.164 | 100 |
| -1 1 2 | 28.92 | 3.087 | 35 |
| 1 1 -1 | 29.21 | 3.058 | 52 |
| 1 1 0 | 31.00 | 2.885 | 42 |
| -1 2 1 | 31.56 | 2.835 | 36 |
| 0 0 3 | 36.84 | 2.440 | 38 |

Structural model:
```
data_Li2PSe5
_chemical_formula_sum 'Li2 P1 Se5'
_space_group_name_H-M_alt 'P 1'
_space_group_IT_number 1
_space_group_name_Hall 'P 1'
_cell_length_a 4.6673
_cell_length_b 6.4617
_cell_length_c 7.7943
_cell_angle_alpha 95.16
_cell_angle_beta 106.22
_cell_angle_gamma 110.67
loop_
_atom_site_label
_atom_site_fract_x
_atom_site_fract_y
_atom_site_fract_z
_atom_site_occupancy
Li1 0.0000 0.0000 0.0000 1
Li2 0.1002 0.5073 0.6983 1
P1 0.8545 0.3546 0.0697 1
Se1 0.2425 0.8854 0.5706 1
Se2 0.3585 0.5892 0.2732 1
Se3 0.5463 0.2914 0.2654 1
Se4 0.7232 0.5733 0.8832 1
Se5 0.9244 0.0621 0.6750 1
```


# Li4Cu19Ni6
Calculated powder diffraction line list, Cu Kα (λ = 1.5418 Å). Input: a cell relaxed with PBE.
Neutral-atom scattering factors, no anomalous dispersion.

Largest 10 diffraction maxima, by angle, 2θ = 5–70°:
| hkl | 2theta | d (Å) | intensity |
| --- | --- | --- | --- |
| 2 1 1 | 24.18 | 3.681 | 26 |
| 3 1 0 | 31.37 | 2.851 | 43 |
| 3 2 1 | 37.31 | 2.410 | 82 |
| 4 0 0 | 40.00 | 2.254 | 100 |
| 4 1 1 | 42.54 | 2.125 | 71 |
| 3 3 2 | 47.28 | 1.922 | 18 |
| 4 2 2 | 49.52 | 1.841 | 60 |
| 4 3 1 | 51.69 | 1.768 | 86 |
| 4 3 3 | 59.81 | 1.546 | 23 |
| 5 1 4 | 67.30 | 1.391 | 23 |

Structural model:
```
data_Li4Cu19Ni6
_chemical_formula_sum 'Li8 Cu38 Ni12'
_space_group_name_H-M_alt 'I 2 3'
_space_group_IT_number 197
_space_group_name_Hall 'I 2 2 3'
_cell_length_a 9.0169
_cell_length_b 9.0169
_cell_length_c 9.0169
_cell_angle_alpha 90.00
_cell_angle_beta 90.00
_cell_angle_gamma 90.00
loop_
_atom_site_label
_atom_site_fract_x
_atom_site_fract_y
_atom_site_fract_z
_atom_site_occupancy
Li1 0.1767 0.1767 0.1767 1
Cu1 0.0000 0.0000 0.0000 1
Cu2 0.0000 0.0000 0.2693 1
Cu3 0.0653 0.2691 0.7327 1
Ni1 0.0000 0.1314 0.5000 1
```


# RbHgHO
Calculated powder diffraction line list, Cu Kα (λ = 1.5418 Å). Input: a cell relaxed with PBE.
Neutral-atom scattering factors, no anomalous dispersion.

Largest 10 diffraction maxima, by angle, 2θ = 5–70°:
| hkl | 2theta | d (Å) | intensity |
| --- | --- | --- | --- |
| 2 0 0 | 13.31 | 6.651 | 34 |
| 1 1 0 | 23.73 | 3.749 | 100 |
| 2 0 -1 | 26.43 | 3.373 | 49 |
| 4 0 0 | 26.81 | 3.326 | 59 |
| 2 0 1 | 28.08 | 3.178 | 50 |
| 3 1 0 | 30.50 | 2.931 | 65 |
| 1 1 -1 | 33.44 | 2.679 | 63 |
| 3 1 1 | 39.87 | 2.261 | 36 |
| 4 2 0 | 54.47 | 1.685 | 23 |
| 2 2 1 | 55.16 | 1.665 | 30 |

Structural model:
```
data_RbHgHO
_chemical_formula_sum 'Rb2 Hg2 H2 O2'
_space_group_name_H-M_alt 'C 1 m 1'
_space_group_IT_number 8
_space_group_name_Hall 'C -2y'
_cell_length_a 13.3343
_cell_length_b 3.9054
_cell_length_c 3.7659
_cell_angle_alpha 90.00
_cell_angle_beta 93.98
_cell_angle_gamma 90.00
loop_
_atom_site_label
_atom_site_fract_x
_atom_site_fract_y
_atom_site_fract_z
_atom_site_occupancy
Rb1 0.0000 0.0000 0.0000 1
Hg1 0.2598 0.0000 0.4001 1
H1 0.1303 0.5000 0.6684 1
O1 0.0733 0.5000 0.4922 1
```